# 1
Theoretical XRD peak list
Compound: SrBiPtO6
Radiation: λ = 1.5418 Å (Cu Kα)
Structure: a DFT-relaxed cell (PBE, Alexandria)
Kinematic intensities with the Lorentz-polarization factor, no thermal factor.

Structural model:
```
SrBiPtO6
1.0
5.516 0.000 0.000
-2.758 4.777 0.000
0.000 0.000 5.358
Sr Bi Pt O
1 1 1 6
direct
0.000 0.000 0.000 Sr
0.333 0.667 0.500 Bi
0.667 0.333 0.500 Pt
0.377 0.025 0.709 O
0.377 0.352 0.291 O
0.648 0.025 0.291 O
0.648 0.623 0.709 O
0.975 0.352 0.709 O
0.975 0.623 0.291 O
```

Main lines, in order of rising 2θ (2θ = 15–90°):
| d/Å | Position (°2θ) | intensity |
| --- | --- | --- |
| 5.358 | 16.55 | 577 |
| 4.777 | 18.57 | 173 |
| 3.566 | 24.97 | 1000 |
| 2.758 | 32.46 | 585 |
| 2.679 | 33.45 | 149 |
| 2.452 | 36.64 | 420 |
| 2.182 | 41.39 | 252 |
| 1.922 | 47.30 | 595 |
| 1.711 | 53.56 | 250 |
| 1.592 | 57.91 | 183 |
| 1.499 | 61.91 | 142 |
| 1.369 | 68.55 | 137 |

# 2
Theoretical XRD peak list
Compound: Tm2Zn3Si
Radiation: λ = 1.5418 Å (Cu Kα)
Structure: a DFT-relaxed cell (PBE, Alexandria)
Kinematic intensities with the Lorentz-polarization factor, no thermal factor.

Structural model:
```
Tm2Zn3Si
1.0
0.000 4.318 7.488
3.524 0.000 7.488
3.524 4.318 0.000
Tm Zn Si
4 6 2
direct
0.247 0.753 0.753 Tm
0.250 0.250 0.250 Tm
0.750 0.750 0.750 Tm
0.753 0.247 0.247 Tm
0.167 0.167 0.833 Zn
0.169 0.664 0.336 Zn
0.336 0.831 0.169 Zn
0.664 0.169 0.831 Zn
0.831 0.336 0.664 Zn
0.833 0.833 0.167 Zn
0.334 0.334 0.666 Si
0.666 0.666 0.334 Si
```

Main lines, in order of rising 2θ (2θ = 15–90°):
| d/Å | Position (°2θ) | intensity |
| --- | --- | --- |
| 3.742 | 23.78 | 288 |
| 2.565 | 34.98 | 1000 |
| 2.160 | 41.81 | 488 |
| 1.871 | 48.67 | 44 |
| 1.762 | 51.90 | 86 |
| 1.652 | 55.62 | 262 |
| 1.594 | 57.85 | 55 |
| 1.414 | 66.06 | 37 |
| 1.365 | 68.75 | 217 |
| 1.313 | 71.94 | 241 |
| 1.247 | 76.35 | 80 |
| 1.121 | 86.93 | 74 |

# 3
Theoretical XRD peak list
Compound: V2FePd6
Radiation: λ = 1.5418 Å (Cu Kα)
Structure: a DFT-relaxed cell (PBE, Alexandria)
Kinematic intensities with the Lorentz-polarization factor, no thermal factor.

Structural model:
```
V2FePd6
1.0
0.000 5.706 5.878
1.956 0.000 5.878
1.956 5.706 0.000
V Fe Pd
2 1 6
direct
0.157 0.157 0.843 V
0.843 0.843 0.157 V
0.500 0.500 0.500 Fe
0.161 0.839 0.161 Pd
0.176 0.487 0.513 Pd
0.487 0.176 0.824 Pd
0.513 0.824 0.176 Pd
0.824 0.513 0.487 Pd
0.839 0.161 0.839 Pd
```

Main lines, in order of rising 2θ (2θ = 15–90°):
| d/Å | Position (°2θ) | intensity |
| --- | --- | --- |
| 2.853 | 31.35 | 66 |
| 2.691 | 33.30 | 107 |
| 2.239 | 40.29 | 1000 |
| 1.958 | 46.38 | 338 |
| 1.902 | 47.82 | 139 |
| 1.614 | 57.05 | 50 |
| 1.384 | 67.68 | 104 |
| 1.364 | 68.82 | 177 |
| 1.178 | 81.75 | 115 |
| 1.177 | 81.86 | 119 |
| 1.153 | 83.93 | 91 |
| 1.119 | 87.07 | 93 |

# 4
Theoretical XRD peak list
Compound: NaAg2PdBr8
Radiation: λ = 1.5418 Å (Cu Kα)
Structure: a DFT-relaxed cell (PBE, Alexandria)
Kinematic intensities with the Lorentz-polarization factor, no thermal factor.

Structural model:
```
NaAg2PdBr8
1.0
6.892 0.000 0.000
-2.873 6.418 0.000
-0.008 -0.007 8.125
Na Ag Pd Br
1 2 1 8
direct
0.000 0.000 0.000 Na
0.000 0.500 0.235 Ag
0.000 0.500 0.765 Ag
0.000 0.000 0.500 Pd
0.202 0.772 0.500 Br
0.248 0.231 0.286 Br
0.248 0.231 0.715 Br
0.261 0.738 0.000 Br
0.739 0.262 0.000 Br
0.752 0.769 0.285 Br
0.752 0.769 0.714 Br
0.798 0.228 0.500 Br
```

Main lines, in order of rising 2θ (2θ = 15–90°):
| d/Å | Position (°2θ) | intensity |
| --- | --- | --- |
| 5.036 | 17.61 | 107 |
| 4.743 | 18.71 | 154 |
| 3.494 | 25.49 | 139 |
| 3.432 | 25.96 | 242 |
| 3.335 | 26.73 | 111 |
| 2.921 | 30.61 | 541 |
| 2.769 | 32.33 | 1000 |
| 2.031 | 44.61 | 166 |
| 2.026 | 44.73 | 348 |
| 1.994 | 45.50 | 314 |
| 1.893 | 48.07 | 255 |
| 1.668 | 55.07 | 143 |

# 5
Theoretical XRD peak list
Compound: CaMg7Ag5
Radiation: λ = 1.5418 Å (Cu Kα)
Structure: a DFT-relaxed cell (PBE, Alexandria)
Kinematic intensities with the Lorentz-polarization factor, no thermal factor.

Structural model:
```
CaMg7Ag5
1.0
-2.839 4.935 4.879
2.839 -4.935 4.879
2.839 4.935 -4.879
Ca Mg Ag
1 7 5
direct
0.000 0.000 0.000 Ca
0.209 0.503 0.706 Mg
0.333 0.987 0.346 Mg
0.337 0.337 0.000 Mg
0.641 0.987 0.654 Mg
0.650 0.650 0.000 Mg
0.773 0.273 0.500 Mg
0.797 0.503 0.294 Mg
0.216 0.716 0.500 Ag
0.504 0.000 0.007 Ag
0.504 0.497 0.504 Ag
0.993 0.000 0.496 Ag
0.993 0.497 0.993 Ag
```

Main lines, in order of rising 2θ (2θ = 15–90°):
| d/Å | Position (°2θ) | intensity |
| --- | --- | --- |
| 4.933 | 17.98 | 463 |
| 4.879 | 18.18 | 1000 |
| 3.471 | 25.66 | 412 |
| 2.468 | 36.41 | 376 |
| 2.461 | 36.52 | 844 |
| 2.453 | 36.64 | 485 |
| 2.439 | 36.84 | 358 |
| 2.202 | 40.98 | 421 |
| 2.197 | 41.08 | 923 |
| 2.187 | 41.29 | 260 |
| 1.735 | 52.76 | 175 |
| 1.733 | 52.84 | 272 |

# 6
Theoretical XRD peak list
Compound: Sr3Ga9Pd2
Radiation: λ = 1.5418 Å (Cu Kα)
Structure: a DFT-relaxed cell (PBE, Alexandria)
Kinematic intensities with the Lorentz-polarization factor, no thermal factor.

Structural model:
```
Sr3Ga9Pd2
1.0
-2.220 5.091 6.454
2.220 -5.091 6.454
2.220 5.091 -6.454
Sr Ga Pd
3 9 2
direct
0.000 0.000 0.000 Sr
0.314 0.314 0.000 Sr
0.686 0.686 0.000 Sr
0.031 0.669 0.362 Ga
0.153 0.874 0.279 Ga
0.306 0.669 0.638 Ga
0.405 0.126 0.279 Ga
0.500 0.000 0.500 Ga
0.595 0.874 0.721 Ga
0.694 0.331 0.362 Ga
0.847 0.126 0.721 Ga
0.969 0.331 0.638 Ga
0.275 0.500 0.775 Pd
0.725 0.500 0.225 Pd
```

Main lines, in order of rising 2θ (2θ = 15–90°):
| d/Å | Position (°2θ) | intensity |
| --- | --- | --- |
| 2.697 | 33.22 | 281 |
| 2.665 | 33.63 | 189 |
| 2.641 | 33.94 | 1000 |
| 2.488 | 36.10 | 207 |
| 2.232 | 40.42 | 221 |
| 2.220 | 40.64 | 421 |
| 2.151 | 42.00 | 194 |
| 2.069 | 43.75 | 131 |
| 2.044 | 44.32 | 177 |
| 1.545 | 59.87 | 133 |
| 1.487 | 62.44 | 186 |
| 1.349 | 69.68 | 124 |

# 7
Theoretical XRD peak list
Compound: Pr2Dy2Ho2In
Radiation: λ = 1.5418 Å (Cu Kα)
Structure: a DFT-relaxed cell (PBE, Alexandria)
Kinematic intensities with the Lorentz-polarization factor, no thermal factor.

Structural model:
```
Pr2Dy2Ho2In
1.0
5.884 -1.766 0.000
5.884 1.766 0.000
-4.506 0.000 10.779
Pr Dy Ho In
2 2 2 1
direct
0.032 0.032 0.257 Pr
0.968 0.968 0.743 Pr
0.174 0.174 0.585 Dy
0.826 0.826 0.415 Dy
0.249 0.249 0.131 Ho
0.751 0.751 0.869 Ho
0.500 0.500 0.000 In
```

Main lines, in order of rising 2θ (2θ = 15–90°):
| d/Å | Position (°2θ) | intensity |
| --- | --- | --- |
| 3.359 | 26.53 | 180 |
| 3.249 | 27.45 | 159 |
| 3.104 | 28.76 | 255 |
| 2.913 | 30.69 | 517 |
| 2.900 | 30.83 | 688 |
| 2.710 | 33.05 | 1000 |
| 2.571 | 34.89 | 995 |
| 1.766 | 51.75 | 165 |
| 1.731 | 52.90 | 231 |
| 1.669 | 55.01 | 193 |
| 1.509 | 61.47 | 211 |
| 1.457 | 63.88 | 223 |

# 8
Theoretical XRD peak list
Compound: Zr3Be3Ge2
Radiation: λ = 1.5418 Å (Cu Kα)
Structure: a DFT-relaxed cell (PBE, Alexandria)
Kinematic intensities with the Lorentz-polarization factor, no thermal factor.

Structural model:
```
Zr3Be3Ge2
1.0
1.858 -4.949 0.000
1.858 4.949 0.000
0.000 0.000 13.730
Zr Be Ge
6 6 4
direct
0.071 0.929 0.750 Zr
0.370 0.630 0.596 Zr
0.370 0.630 0.904 Zr
0.630 0.370 0.096 Zr
0.630 0.370 0.404 Zr
0.929 0.071 0.250 Zr
0.071 0.929 0.553 Be
0.071 0.929 0.947 Be
0.200 0.800 0.250 Be
0.800 0.200 0.750 Be
0.929 0.071 0.053 Be
0.929 0.071 0.447 Be
0.341 0.659 0.115 Ge
0.341 0.659 0.385 Ge
0.659 0.341 0.615 Ge
0.659 0.341 0.885 Ge
```

Main lines, in order of rising 2θ (2θ = 15–90°):
| d/Å | Position (°2θ) | intensity |
| --- | --- | --- |
| 3.478 | 25.61 | 234 |
| 3.432 | 25.96 | 301 |
| 3.361 | 26.52 | 317 |
| 3.103 | 28.77 | 502 |
| 2.474 | 36.31 | 353 |
| 2.467 | 36.42 | 726 |
| 2.443 | 36.79 | 1000 |
| 2.428 | 37.02 | 323 |
| 2.288 | 39.38 | 320 |
| 2.004 | 45.24 | 624 |
| 1.858 | 49.04 | 315 |
| 1.679 | 54.68 | 294 |

# 9
Theoretical XRD peak list
Compound: PrNdI3
Radiation: λ = 1.5418 Å (Cu Kα)
Structure: a DFT-relaxed cell (PBE, Alexandria)
Kinematic intensities with the Lorentz-polarization factor, no thermal factor.

Structural model:
```
PrNdI3
1.0
3.696 -7.163 0.000
3.696 7.163 0.000
-2.998 0.000 6.752
Pr Nd I
2 2 6
direct
0.184 0.816 0.000 Pr
0.816 0.184 0.000 Pr
0.316 0.684 0.500 Nd
0.684 0.316 0.500 Nd
0.110 0.390 0.748 I
0.253 0.253 0.251 I
0.390 0.110 0.748 I
0.610 0.890 0.252 I
0.747 0.747 0.749 I
0.890 0.610 0.252 I
```

Main lines, in order of rising 2θ (2θ = 15–90°):
| d/Å | Position (°2θ) | intensity |
| --- | --- | --- |
| 3.098 | 28.82 | 587 |
| 3.079 | 29.00 | 1000 |
| 3.054 | 29.24 | 380 |
| 2.600 | 34.49 | 342 |
| 2.388 | 37.68 | 154 |
| 2.184 | 41.35 | 760 |
| 2.014 | 45.02 | 172 |
| 1.891 | 48.12 | 153 |
| 1.688 | 54.34 | 196 |
| 1.592 | 57.92 | 152 |
| 1.582 | 58.33 | 251 |
| 1.384 | 67.72 | 174 |

# 10
Theoretical XRD peak list
Compound: ErNp3Pd12
Radiation: λ = 1.5418 Å (Cu Kα)
Structure: a DFT-relaxed cell (PBE, Alexandria)
Kinematic intensities with the Lorentz-polarization factor, no thermal factor.

Structural model:
```
ErNp3Pd12
1.0
4.124 0.000 0.000
0.000 4.124 0.000
0.000 0.000 16.548
Er Np Pd
1 3 12
direct
0.000 0.000 0.000 Er
0.000 0.000 0.247 Np
0.000 0.000 0.500 Np
0.000 0.000 0.753 Np
0.000 0.500 0.125 Pd
0.000 0.500 0.376 Pd
0.000 0.500 0.624 Pd
0.000 0.500 0.875 Pd
0.500 0.000 0.125 Pd
0.500 0.000 0.376 Pd
0.500 0.000 0.624 Pd
0.500 0.000 0.875 Pd
0.500 0.500 0.000 Pd
0.500 0.500 0.250 Pd
0.500 0.500 0.500 Pd
0.500 0.500 0.750 Pd
```

Main lines, in order of rising 2θ (2θ = 15–90°):
| d/Å | Position (°2θ) | intensity |
| --- | --- | --- |
| 4.128 | 21.53 | 114 |
| 2.919 | 30.63 | 99 |
| 2.383 | 37.74 | 1000 |
| 2.068 | 43.77 | 164 |
| 2.062 | 43.91 | 327 |
| 1.847 | 49.33 | 38 |
| 1.685 | 54.44 | 43 |
| 1.460 | 63.73 | 214 |
| 1.458 | 63.84 | 107 |
| 1.247 | 76.40 | 125 |
| 1.244 | 76.61 | 251 |
| 1.192 | 80.62 | 110 |

# 11
Theoretical XRD peak list
Compound: CuAgBrF2
Radiation: λ = 1.5418 Å (Cu Kα)
Structure: a DFT-relaxed cell (PBE, Alexandria)
Kinematic intensities with the Lorentz-polarization factor, no thermal factor.

Structural model:
```
CuAgBrF2
1.0
3.876 0.000 0.000
0.000 3.876 0.000
0.000 0.000 5.890
Cu Ag Br F
1 1 1 2
direct
0.000 0.000 0.000 Cu
0.500 0.500 0.500 Ag
0.000 0.000 0.500 Br
0.000 0.500 0.000 F
0.500 0.000 0.000 F
```

Main lines, in order of rising 2θ (2θ = 15–90°):
| d/Å | Position (°2θ) | intensity |
| --- | --- | --- |
| 5.890 | 15.04 | 408 |
| 3.238 | 27.55 | 552 |
| 2.945 | 30.35 | 1000 |
| 2.741 | 32.67 | 886 |
| 2.485 | 36.15 | 723 |
| 2.006 | 45.19 | 715 |
| 1.938 | 46.88 | 564 |
| 1.619 | 56.87 | 606 |
| 1.297 | 72.92 | 171 |
| 1.242 | 76.70 | 236 |
| 1.173 | 82.22 | 196 |
| 1.132 | 85.88 | 228 |

# 12
Theoretical XRD peak list
Compound: Nd2TaI
Radiation: λ = 1.5418 Å (Cu Kα)
Structure: a DFT-relaxed cell (PBE, Alexandria)
Kinematic intensities with the Lorentz-polarization factor, no thermal factor.

Structural model:
```
Nd2TaI
1.0
1.744 1.007 11.103
-1.744 1.007 11.103
0.000 -2.014 11.103
Nd Ta I
2 1 1
direct
0.088 0.088 0.088 Nd
0.912 0.912 0.912 Nd
0.000 0.000 0.000 Ta
0.500 0.500 0.500 I
```

Main lines, in order of rising 2θ (2θ = 15–90°):
| d/Å | Position (°2θ) | intensity |
| --- | --- | --- |
| 3.009 | 29.69 | 491 |
| 2.972 | 30.06 | 1000 |
| 2.776 | 32.25 | 486 |
| 2.751 | 32.54 | 206 |
| 2.445 | 36.76 | 162 |
| 2.238 | 40.30 | 655 |
| 2.139 | 42.26 | 244 |
| 1.869 | 48.72 | 149 |
| 1.744 | 52.46 | 397 |
| 1.477 | 62.94 | 426 |
| 1.376 | 68.17 | 139 |
| 1.354 | 69.44 | 161 |

# 13
Theoretical XRD peak list
Compound: Cs6Rb5Hg
Radiation: λ = 1.5418 Å (Cu Kα)
Structure: a DFT-relaxed cell (PBE, Alexandria)
Kinematic intensities with the Lorentz-polarization factor, no thermal factor.

Structural model:
```
Cs6Rb5Hg
1.0
-3.923 6.713 10.410
3.923 -6.713 10.410
3.923 6.713 -10.410
Cs Rb Hg
6 5 1
direct
0.052 0.352 0.699 Cs
0.176 0.000 0.176 Cs
0.347 0.648 0.699 Cs
0.653 0.352 0.301 Cs
0.824 0.000 0.824 Cs
0.948 0.648 0.301 Cs
0.220 0.220 0.000 Rb
0.365 0.865 0.500 Rb
0.500 0.500 0.000 Rb
0.635 0.135 0.500 Rb
0.780 0.780 0.000 Rb
0.000 0.500 0.500 Hg
```

Main lines, in order of rising 2θ (2θ = 15–90°):
| d/Å | Position (°2θ) | intensity |
| --- | --- | --- |
| 4.375 | 20.30 | 95 |
| 4.113 | 21.61 | 1000 |
| 3.923 | 22.66 | 311 |
| 3.642 | 24.44 | 202 |
| 3.470 | 25.67 | 98 |
| 2.600 | 34.49 | 136 |
| 2.478 | 36.26 | 87 |
| 2.300 | 39.17 | 197 |
| 2.283 | 39.47 | 99 |
| 2.205 | 40.92 | 89 |
| 2.095 | 43.19 | 87 |
| 1.775 | 51.49 | 91 |

# 14
Theoretical XRD peak list
Compound: MnAlAg2
Radiation: λ = 1.5418 Å (Cu Kα)
Structure: a DFT-relaxed cell (PBE, Alexandria)
Kinematic intensities with the Lorentz-polarization factor, no thermal factor.

Structural model:
```
MnAlAg2
1.0
1.441 0.832 9.015
-1.441 0.832 9.015
0.000 -1.664 9.015
Mn Al Ag
1 1 2
direct
0.000 0.000 0.000 Mn
0.741 0.741 0.741 Al
0.249 0.249 0.249 Ag
0.491 0.491 0.491 Ag
```

Main lines, in order of rising 2θ (2θ = 15–90°):
| d/Å | Position (°2θ) | intensity |
| --- | --- | --- |
| 3.005 | 29.73 | 165 |
| 2.485 | 36.15 | 149 |
| 2.341 | 38.45 | 1000 |
| 2.266 | 39.78 | 165 |
| 2.254 | 40.00 | 271 |
| 2.008 | 45.16 | 599 |
| 1.598 | 57.69 | 90 |
| 1.441 | 64.70 | 201 |
| 1.399 | 66.85 | 151 |
| 1.227 | 77.85 | 115 |
| 1.214 | 78.86 | 203 |
| 1.170 | 82.39 | 96 |